Record 1
This entry pairs a crystal structure of NiMo4O15 with its calculated XRD peak list. Radiation: copper Kα. Structure: a structure optimized by DFT (PBE+U).
No peak broadening, texture or thermal motion is included.

Cell and atoms:
Cell lengths 5.647, 7.029, 7.655 Å; angles 89.55, 76.62, 89.19 degrees
Space group P-1 (No. 2)
Asymmetric unit:
Ni 0.000 0.000 0.000 x1
Mo 0.134 0.657 0.609 x2
Mo 0.446 0.694 0.180 x2
O 0.045 0.829 0.782 x2
O 0.135 0.184 0.491 x2
O 0.156 0.503 0.353 x2
O 0.218 0.822 0.105 x2
O 0.298 0.163 0.890 x2
O 0.332 0.500 0.695 x2
O 0.356 0.793 0.431 x2
O 0.500 0.500 0.000 x1

The 10 most intense peaks (2θ from 15° to 90°), sorted by position:
d/Å  I_rel  h k l
5.122  45  0 1 1
4.355  45  1 1 0
4.051  100  1 -1 1
3.487  51  1 1 -1
3.297  53  0 1 2
2.897  31  1 2 1
2.796  39  2 0 1
2.032  22  0 2 3
2.026  20  2 -2 2
1.992  24  2 2 -1

Record 2
This entry pairs a crystal structure of Li4Fe2OF8 with its calculated XRD peak list. Radiation: copper Kα. Structure: a structure optimized by DFT (PBE+U).
No peak broadening, texture or thermal motion is included.

Cell and atoms:
Cell lengths 8.842, 5.115, 14.026 Å; angles 90.00, 90.11, 90.00 degrees
Space group Cc (No. 9)
Asymmetric unit:
Li 0.000 0.005 0.000 x4
Li 0.011 0.006 0.294 x4
Li 0.342 0.019 0.620 x4
Li 0.345 0.005 0.326 x4
Fe 0.181 0.490 0.459 x4
Fe 0.184 0.494 0.661 x4
O 0.311 0.366 0.560 x4
F 0.003 0.354 0.223 x4
F 0.015 0.321 0.897 x4
F 0.016 0.359 0.558 x4
F 0.162 0.166 0.391 x4
F 0.167 0.193 0.062 x4
F 0.183 0.162 0.728 x4
F 0.337 0.316 0.231 x4
F 0.350 0.343 0.892 x4

The 10 most intense peaks (2θ from 15° to 90°), sorted by position:
d/Å  I_rel  h k l
4.426  100  2 0 0
3.743  22  2 0 -2
3.506  11  0 0 4
2.748  38  1 1 -4
2.242  49  3 1 -3
2.213  11  4 0 0
2.067  20  3 1 -4
1.872  16  2 2 4
1.725  34  3 1 -6
1.476  14  3 3 0

Please write out number 2 again, unchanged.
This entry pairs a crystal structure of Li4Fe2OF8 with its calculated XRD peak list. Radiation: copper Kα. Structure: a structure optimized by DFT (PBE+U).
No peak broadening, texture or thermal motion is included.

Cell and atoms:
Cell lengths 8.842, 5.115, 14.026 Å; angles 90.00, 90.11, 90.00 degrees
Space group Cc (No. 9)
Asymmetric unit:
Li 0.000 0.005 0.000 x4
Li 0.011 0.006 0.294 x4
Li 0.342 0.019 0.620 x4
Li 0.345 0.005 0.326 x4
Fe 0.181 0.490 0.459 x4
Fe 0.184 0.494 0.661 x4
O 0.311 0.366 0.560 x4
F 0.003 0.354 0.223 x4
F 0.015 0.321 0.897 x4
F 0.016 0.359 0.558 x4
F 0.162 0.166 0.391 x4
F 0.167 0.193 0.062 x4
F 0.183 0.162 0.728 x4
F 0.337 0.316 0.231 x4
F 0.350 0.343 0.892 x4

The 10 most intense peaks (2θ from 15° to 90°), sorted by position:
d/Å  I_rel  h k l
4.426  100  2 0 0
3.743  22  2 0 -2
3.506  11  0 0 4
2.748  38  1 1 -4
2.242  49  3 1 -3
2.213  11  4 0 0
2.067  20  3 1 -4
1.872  16  2 2 4
1.725  34  3 1 -6
1.476  14  3 3 0